Dy2Ni2C3N: computed powder diffractogram (Cu Kα, 1.54184 Å), based on a PBE-relaxed structure.
No peak broadening, texture or thermal motion is included.

Structure:
```
8
Lattice="3.499 0.000 0.000 0.000 3.499 0.000 0.000 0.000 7.373" Properties=species:S:1:pos:R:3 pbc="T T T"
Dy 0.000 0.000 0.000
Dy 1.750 1.750 2.493
Ni 0.000 1.750 4.878
Ni 1.750 0.000 4.878
C 0.000 0.000 3.742
C 1.750 1.750 0.109
C 1.750 1.750 6.093
N 0.000 0.000 2.355
```

Peak list (10 most intense, 2θ = 10–90°, by angle)
(1 0 1), 28.23°, I = 100; (1 0 2), 35.37°, I = 70; (1 1 0), 36.31°, I = 25; (0 0 3), 36.56°, I = 45; (1 1 1), 38.38°, I = 65; (1 1 2), 44.08°, I = 52; (2 0 0), 52.29°, I = 38; (2 1 1), 60.48°, I = 26; (2 1 2), 64.72°, I = 25; (2 0 3), 65.49°, I = 32

***

NdGdSi2Mo2C: computed powder diffractogram (Cu Kα, 1.54184 Å), based on a PBE-relaxed structure.
No peak broadening, texture or thermal motion is included.

Structure:
```
14
Lattice="11.212 0.000 0.000 0.000 3.884 0.000 -4.265 0.000 5.901" Properties=species:S:1:pos:R:3 pbc="T T T"
Nd 0.000 0.000 0.000
Nd 5.606 1.942 0.000
Gd 2.193 1.942 2.384
Gd 7.799 0.000 2.384
Si -0.947 1.942 2.192
Si 3.123 0.000 0.186
Si 4.659 0.000 2.192
Si 8.728 1.942 0.186
Mo -1.883 1.942 4.602
Mo -0.198 0.000 3.646
Mo 3.723 0.000 4.602
Mo 5.408 1.942 3.646
C 1.769 0.000 4.097
C 7.374 1.942 4.097
```

Peak list (10 most intense, 2θ = 10–90°, by angle)
(2 0 -2), 24.53°, I = 22; (1 1 0), 24.93°, I = 23; (2 0 1), 31.09°, I = 44; (1 1 1), 32.14°, I = 18; (4 0 -1), 32.92°, I = 25; (3 1 -1), 33.34°, I = 89; (1 1 -2), 34.69°, I = 100; (3 1 0), 37.66°, I = 17; (4 0 -3), 39.28°, I = 30; (0 2 0), 46.78°, I = 26